[1]
For NpTlGaO6, DFT lattice parameters and positions (PBE) gives the theoretical powder X-ray diffraction pattern in this record (Cu Kα X-rays).

Structural model:
abc: 5.352 5.352 9.719
angles: 90.00 90.00 120.00
Atoms (fractional coordinates):
Np  0.333  0.667  0.250
Np  0.667  0.333  0.750
Tl  0.000  0.000  0.000
Tl  0.000  0.000  0.500
Ga  0.333  0.667  0.750
Ga  0.667  0.333  0.250
O  0.008  0.358  0.637
O  0.008  0.650  0.863
O  0.350  0.358  0.863
O  0.350  0.992  0.637
O  0.358  0.008  0.137
O  0.358  0.350  0.363
O  0.642  0.650  0.637
O  0.642  0.992  0.863
O  0.650  0.008  0.363
O  0.650  0.642  0.137
O  0.992  0.350  0.137
O  0.992  0.642  0.363

Principal peaks in the range 2θ = 10–90°, low angle first:
Position (°2θ)  I (rel.)
21.24  24
26.58  100
33.48  46
43.25  27
50.75  42
55.78  26
59.86  14
76.67  11

[2]
For Ho7As5P, DFT lattice parameters and positions (PBE) gives the theoretical powder X-ray diffraction pattern in this record (Cu Kα X-rays).

Structural model:
abc: 7.006 7.006 23.783
angles: 90.00 90.00 33.52
Atoms (fractional coordinates):
Ho  0.057  0.057  0.250
Ho  0.137  0.137  0.536
Ho  0.137  0.137  0.964
Ho  0.316  0.316  0.179
Ho  0.316  0.316  0.321
Ho  0.412  0.412  0.606
Ho  0.412  0.412  0.894
Ho  0.588  0.588  0.106
Ho  0.588  0.588  0.394
Ho  0.684  0.684  0.679
Ho  0.684  0.684  0.821
Ho  0.863  0.863  0.036
Ho  0.863  0.863  0.464
Ho  0.943  0.943  0.750
As  0.046  0.046  0.648
As  0.046  0.046  0.852
As  0.227  0.227  0.074
As  0.227  0.227  0.426
As  0.500  0.500  0.000
As  0.500  0.500  0.500
As  0.773  0.773  0.574
As  0.773  0.773  0.926
As  0.954  0.954  0.148
As  0.954  0.954  0.352
P  0.298  0.298  0.750
P  0.702  0.702  0.250

Principal peaks in the range 2θ = 10–90°, low angle first:
Position (°2θ)  I (rel.)
29.47  100
30.75  83
31.91  84
32.96  31
44.77  100
44.86  38
46.64  33
54.59  36

[3]
For CsAc2Tl2O6, DFT lattice parameters and positions (PBE) gives the theoretical powder X-ray diffraction pattern in this record (Cu Kα X-rays).

Structural model:
abc: 6.905 7.259 7.315
angles: 62.11 66.67 62.00
Atoms (fractional coordinates):
Cs  0.000  0.000  0.000
Ac  0.322  0.318  0.046
Ac  0.678  0.682  0.954
Tl  0.323  0.712  0.534
Tl  0.677  0.288  0.466
O  0.070  0.564  0.770
O  0.370  0.909  0.202
O  0.426  0.677  0.803
O  0.574  0.323  0.197
O  0.630  0.091  0.798
O  0.930  0.436  0.230

Principal peaks in the range 2θ = 10–90°, low angle first:
Position (°2θ)  I (rel.)
15.65  82
25.90  95
27.06  44
27.43  100
28.17  54
28.34  62
28.66  43
29.23  52